Starting from a structure optimized by DFT (GGA-PBE), the X-ray diffraction stick pattern of YTm2Ru was calculated for CuKα.

Structural model:
```
data_YTm2Ru
_cell_length_a 3.916
_cell_length_b 11.779
_cell_length_c 8.938
_cell_angle_alpha 90.00
_cell_angle_beta 90.00
_cell_angle_gamma 90.00
_symmetry_space_group_name_H-M 'C m c m'
_symmetry_Int_Tables_number 63
_symmetry_space_group_name_Hall '-C 2c 2'
loop_
_atom_site_label
_atom_site_type_symbol
_atom_site_fract_x
_atom_site_fract_y
_atom_site_fract_z
Y1 Y 0.000 0.073 0.250
Tm1 Tm 0.000 0.356 0.066
Ru1 Ru 0.000 0.256 0.750
```

Largest 8 diffraction maxima, sorted by position, 2θ = 15–90°:
| hkl | Position (°2θ) | intensity |
| --- | --- | --- |
| 0 2 0 | 15.04 | 39 |
| 1 1 2 | 31.31 | 77 |
| 1 3 0 | 32.29 | 84 |
| 0 2 3 | 33.71 | 100 |
| 1 3 1 | 33.85 | 80 |
| 0 4 2 | 36.54 | 42 |
| 1 1 3 | 38.74 | 90 |
| 2 2 3 | 58.55 | 41 |